ZnFeW4: theoretical powder diffractogram (λ = 1.5418 Å (Cu Kα)), based on DFT lattice parameters and positions (PBE).

Most intense lines, 2θ from 10° to 90°, sorted by position:
- 20.78 deg, I 63
- 40.41 deg, I 100
- 42.29 deg, I 75
- 49.23 deg, I 25
- 53.99 deg, I 16
- 65.52 deg, I 32
- 72.18 deg, I 32
- 87.38 deg, I 29

Structural model:
```
ZnFeW4
1.0
0.000 3.701 3.701
3.701 0.000 3.701
3.701 3.701 0.000
Zn Fe W
1 1 4
direct
0.000 0.000 0.000 Zn
0.750 0.750 0.750 Fe
0.375 0.375 0.375 W
0.375 0.375 0.876 W
0.375 0.876 0.375 W
0.876 0.375 0.375 W
```

=====

Y6Fe23: theoretical powder diffractogram (λ = 1.5418 Å (Cu Kα)), based on DFT lattice parameters and positions (PBE).

Most intense lines, 2θ from 10° to 90°, sorted by position:
- 36.59 deg, I 20
- 38.89 deg, I 63
- 42.50 deg, I 100
- 44.55 deg, I 18
- 45.22 deg, I 12
- 65.87 deg, I 15
- 77.77 deg, I 16
- 79.21 deg, I 13

Structural model:
```
Y6Fe23
1.0
0.000 6.016 6.016
6.016 0.000 6.016
6.016 6.016 0.000
Y Fe
6 23
direct
0.209 0.209 0.791 Y
0.209 0.791 0.209 Y
0.209 0.791 0.791 Y
0.791 0.209 0.209 Y
0.791 0.209 0.791 Y
0.791 0.791 0.209 Y
0.000 0.000 0.500 Fe
0.000 0.500 0.000 Fe
0.000 0.500 0.500 Fe
0.134 0.622 0.622 Fe
0.176 0.176 0.176 Fe
0.176 0.176 0.472 Fe
0.176 0.472 0.176 Fe
0.378 0.378 0.378 Fe
0.378 0.378 0.866 Fe
0.378 0.866 0.378 Fe
0.472 0.176 0.176 Fe
0.500 0.000 0.000 Fe
0.500 0.000 0.500 Fe
0.500 0.500 0.000 Fe
0.500 0.500 0.500 Fe
0.528 0.824 0.824 Fe
0.622 0.134 0.622 Fe
0.622 0.622 0.134 Fe
0.622 0.622 0.622 Fe
0.824 0.528 0.824 Fe
0.824 0.824 0.528 Fe
0.824 0.824 0.824 Fe
0.866 0.378 0.378 Fe
```